Starting from a structure optimized by DFT (GGA-PBE), the X-ray powder pattern of TbPr3Nd4 was calculated for Cu Kα.
Lines closer than 0.1° are merged.

Largest 5 diffraction maxima, sorted by position, 2θ from 5° to 70°:
29.8°, rel. 100.0, hkl 2 2 0; 34.5°, rel. 50.7, hkl 4 0 0; 49.6°, rel. 36.4, hkl 4 2 2; 58.9°, rel. 43.4, hkl 6 2 0; 61.8°, rel. 12.5, hkl 4 4 0

Cell and atoms:
```
16
Lattice="10.4012 0.0000 0.0000 0.0000 7.3587 0.0000 0.0000 0.0000 7.3500" Properties=species:S:1:pos:R:3 pbc="T T T"
Tb 0.0000 0.0000 0.0000
Tb 5.2006 0.0000 3.6750
Pr 0.0000 3.6793 3.6750
Pr 2.6003 1.8241 1.8375
Pr 2.6003 5.5345 5.5125
Pr 5.2006 3.6793 0.0000
Pr 7.8009 1.8241 1.8375
Pr 7.8009 5.5345 5.5125
Nd 0.0000 0.0000 3.6750
Nd 0.0000 3.6793 0.0000
Nd 2.6003 1.8232 5.5125
Nd 2.6003 5.5354 1.8375
Nd 5.2006 0.0000 0.0000
Nd 5.2006 3.6793 3.6750
Nd 7.8009 1.8232 5.5125
Nd 7.8009 5.5354 1.8375
```